Theoretical X-ray powder pattern of KHf2O for a wavelength of 1.5418 Å, from a structure optimized by DFT (GGA-PBE).
Peak positions follow from Bragg's law for the DFT cell and can differ from measured ones.

Crystal structure
abc: 9.592 9.592 9.592
angles: 90.00 90.00 90.00
Space group Fd-3m (No. 227, origin choice 2)
Symmetry-distinct sites (fractional):
K1 0.125 0.125 0.125 (multiplicity 8)
Hf1 0.000 0.000 0.500 (multiplicity 16)
O1 0.125 0.125 0.625 (multiplicity 8)

Largest 8 diffraction maxima, in order of rising 2θ, 2θ = 10–90°:
| index | d/Å | I/Imax |
| --- | --- | --- |
| 1 1 1 | 5.538 | 1000 |
| 3 1 1 | 2.892 | 918 |
| 2 2 2 | 2.769 | 906 |
| 4 0 0 | 2.398 | 322 |
| 3 3 1 | 2.201 | 293 |
| 5 1 1 | 1.846 | 336 |
| 4 4 0 | 1.696 | 422 |
| 6 2 2 | 1.446 | 381 |

Theoretical X-ray powder pattern of Cs3Rb2Na9 for a wavelength of 1.5418 Å, from a structure optimized by DFT (GGA-PBE).
Peak positions follow from Bragg's law for the DFT cell and can differ from measured ones.

Crystal structure
```
data_Cs3Rb2Na9
_chemical_formula_sum 'Cs6 Rb4 Na18'
_cell_length_a 6.524
_cell_length_b 12.597
_cell_length_c 20.102
_cell_angle_alpha 90.00
_cell_angle_beta 90.00
_cell_angle_gamma 90.00
_space_group_name_H-M_alt 'I m m m'
_space_group_IT_number 71
_space_group_name_Hall '-I 2 2'
loop_
_atom_site_label
_atom_site_fract_x
_atom_site_fract_y
_atom_site_fract_z
Cs1 0.000 0.000 0.000
Cs2 0.000 0.000 0.287
Rb1 0.000 0.202 0.500
Na1 0.000 0.292 0.143
Na2 0.000 0.354 0.322
Na3 0.000 0.500 0.000
```

Largest 8 diffraction maxima, in order of rising 2θ, 2θ = 10–90°:
| index | d/Å | I/Imax |
| --- | --- | --- |
| 1 1 0 | 5.793 | 558 |
| 1 1 4 | 3.796 | 464 |
| 1 2 3 | 3.753 | 1000 |
| 0 3 3 | 3.558 | 308 |
| 1 3 2 | 3.331 | 310 |
| 2 0 0 | 3.262 | 403 |
| 1 5 4 | 2.128 | 270 |
| 2 3 7 | 1.917 | 269 |